Structure and simulated X-ray powder pattern of TbTe2PbO8 (a crystal structure in Alexandria, relaxed with PBE; Cu Ka).
Kinematic intensities with the Lorentz-polarization factor, no thermal factor.

Structural model:
Unit cell a=6.081 b=6.081 c=7.260 alpha=90.00 beta=90.00 gamma=120.00
Atoms (fractional coordinates):
1 Tb 0.000 0.000 0.000
2 Te 0.333 0.667 0.283
3 Te 0.667 0.333 0.717
4 Pb 0.000 0.000 0.500
5 O 0.160 0.319 0.210
6 O 0.160 0.840 0.210
7 O 0.319 0.160 0.790
8 O 0.333 0.667 0.535
9 O 0.667 0.333 0.465
10 O 0.681 0.840 0.210
11 O 0.840 0.160 0.790
12 O 0.840 0.681 0.790

Main lines, sorted by position (10 to 90 degrees two-theta):
| (hkl) | d/Å | Rel. int. |
| --- | --- | --- |
| 1 0 0 | 5.266 | 57.9 |
| 0 1 1 | 4.263 | 67.2 |
| 1 1 0 | 3.040 | 99.2 |
| 1 0 2 | 2.989 | 100.0 |
| 0 2 2 | 2.131 | 52.5 |
| 3 0 0 | 1.755 | 20.2 |
| 2 1 2 | 1.745 | 45.8 |
| 1 1 4 | 1.558 | 20.9 |
| 2 2 0 | 1.520 | 17.2 |
| 1 3 2 | 1.355 | 19.5 |